Structure and theoretical XRD peak list of KTl2 (a GGA-PBE-relaxed structure; Cu Kα X-rays).

Lattice parameters (Å, degrees): 8.8142 8.8142 8.8142 60.00 60.00 60.00
Atoms (fractional coordinates):
K 0.0000 0.0000 0.0000
K 0.0000 0.0000 0.5000
K 0.0000 0.5000 0.0000
K 0.5000 0.0000 0.0000
Tl 0.2816 0.2816 0.2816
Tl 0.2816 0.2816 0.6550
Tl 0.2816 0.6550 0.2816
Tl 0.3450 0.7184 0.7184
Tl 0.6550 0.2816 0.2816
Tl 0.7184 0.3450 0.7184
Tl 0.7184 0.7184 0.3450
Tl 0.7184 0.7184 0.7184

Most intense lines, 5 to 70 degrees two-theta, by angle:
d_spacing	I/Imax
7.197	58
3.598	100
3.116	74
2.860	61
2.399	89
1.745	44